Entry 1:
This entry pairs a crystal structure of Np2O3 with its calculated X-ray powder pattern. Radiation: copper Kα. Structure: a GGA-PBE-relaxed structure.
Intensities are scaled so that the largest is 100.

The 10 most intense peaks (5° ≤ 2θ ≤ 70°), in order of falling intensity:
| 2θ/deg | d (Å) | intensity |
| --- | --- | --- |
| 29.30 | 3.049 | 100 |
| 29.84 | 2.994 | 100 |
| 52.63 | 1.739 | 44 |
| 42.31 | 2.136 | 42 |
| 52.97 | 1.729 | 26 |
| 51.61 | 1.771 | 17 |
| 47.23 | 1.925 | 16 |
| 61.99 | 1.497 | 14 |
| 69.16 | 1.358 | 13 |
| 60.76 | 1.524 | 10 |

Atomic structure:
```
Np2O3
1.0
2.9940 1.7286 5.0249
-2.9940 1.7286 5.0249
0.0000 -3.4572 5.0249
Np O
4 6
direct
0.1375 0.1375 0.1375 Np
0.3625 0.3625 0.3625 Np
0.6375 0.6375 0.6375 Np
0.8625 0.8625 0.8625 Np
0.0317 0.7500 0.4683 O
0.2500 0.5317 0.9683 O
0.4683 0.0317 0.7500 O
0.5317 0.9683 0.2500 O
0.7500 0.4683 0.0317 O
0.9683 0.2500 0.5317 O
```

***

Entry 2:
This entry pairs a crystal structure of NbSnSb with its calculated X-ray powder pattern. Radiation: copper Kα. Structure: a GGA-PBE-relaxed structure.
Intensities are scaled so that the largest is 100.

The 10 most intense peaks (5° ≤ 2θ ≤ 70°), in order of falling intensity:
| 2θ/deg | d (Å) | intensity |
| --- | --- | --- |
| 32.74 | 2.735 | 100 |
| 33.59 | 2.668 | 97 |
| 41.05 | 2.199 | 49 |
| 41.20 | 2.191 | 43 |
| 42.25 | 2.139 | 37 |
| 36.21 | 2.481 | 36 |
| 63.28 | 1.470 | 35 |
| 36.60 | 2.455 | 33 |
| 57.03 | 1.615 | 22 |
| 56.48 | 1.629 | 21 |

Atomic structure:
```
NbSnSb
1.0
0.0000 4.7463 4.9395
2.8689 0.0000 4.9395
2.8689 4.7463 0.0000
Nb Sn Sb
2 2 2
direct
0.2500 0.2500 0.2500 Nb
0.7500 0.7500 0.7500 Nb
0.1535 0.8465 0.1535 Sn
0.8465 0.1535 0.8465 Sn
0.3491 0.3491 0.6509 Sb
0.6509 0.6509 0.3491 Sb
```